(1)
PdI: computed powder diffraction line list (Cu Kα (weighted mean of Kα1 and Kα2)), based on a structure optimized by DFT (GGA-PBE).
Lines closer than 0.1° are merged.

Structural model:
```
PdI
1.0
10.1479 0.0000 0.0000
-5.0739 8.7883 0.0000
0.0000 0.0000 4.4539
Pd I
6 6
direct
0.0070 0.5872 0.2500 Pd
0.4128 0.4199 0.2500 Pd
0.4199 0.0070 0.7500 Pd
0.5801 0.9930 0.2500 Pd
0.5872 0.5801 0.7500 Pd
0.9930 0.4128 0.7500 Pd
0.1330 0.7391 0.7500 I
0.2609 0.3939 0.7500 I
0.3939 0.1330 0.2500 I
0.6061 0.8670 0.7500 I
0.7391 0.6061 0.2500 I
0.8670 0.2609 0.2500 I
```

Most intense lines, 2θ = 10–90°, by angle:
- 10.1°, I 45
- 17.5°, I 73
- 22.4°, I 24
- 26.8°, I 50
- 28.5°, I 38
- 40.5°, I 24
- 42.3°, I 100
- 49.3°, I 19
- 49.6°, I 19
- 74.9°, I 20

=====

(2)
Pd4I: computed powder diffraction line list (Cu Kα (weighted mean of Kα1 and Kα2)), based on a structure optimized by DFT (GGA-PBE).
Lines closer than 0.1° are merged.

Structural model:
```
Pd4I
1.0
4.9200 0.0000 0.0000
0.0000 4.9200 0.0000
0.0000 0.0000 4.9200
Pd I
4 1
direct
0.0000 0.0000 0.0000 Pd
0.0000 0.5000 0.5000 Pd
0.5000 0.0000 0.5000 Pd
0.5000 0.5000 0.0000 Pd
0.5000 0.5000 0.5000 I
```

Most intense lines, 2θ = 10–90°, by angle:
- 18.0°, I 30
- 25.6°, I 26
- 31.5°, I 61
- 36.5°, I 100
- 41.0°, I 14
- 45.1°, I 11
- 52.6°, I 69
- 62.6°, I 24
- 65.7°, I 23
- 89.0°, I 31

=====

(3)
Pd3I: computed powder diffraction line list (Cu Kα (weighted mean of Kα1 and Kα2)), based on a structure optimized by DFT (GGA-PBE).
Lines closer than 0.1° are merged.

Structural model:
```
Pd3I
1.0
4.3195 0.0000 0.0000
0.0000 4.3195 0.0000
0.0000 0.0000 7.6396
Pd I
6 2
direct
0.0000 0.0000 0.0000 Pd
0.0000 0.5000 0.2500 Pd
0.0000 0.5000 0.7500 Pd
0.5000 0.0000 0.2500 Pd
0.5000 0.0000 0.7500 Pd
0.5000 0.5000 0.5000 Pd
0.0000 0.0000 0.5000 I
0.5000 0.5000 0.0000 I
```

Most intense lines, 2θ = 10–90°, by angle:
- 37.7°, I 100
- 41.8°, I 37
- 47.6°, I 13
- 60.6°, I 12
- 65.2°, I 19
- 73.7°, I 27
- 80.5°, I 11
- 82.0°, I 10

=====

(4)
PdI2: computed powder diffraction line list (Cu Kα (weighted mean of Kα1 and Kα2)), based on a structure optimized by DFT (GGA-PBE).
Lines closer than 0.1° are merged.

Structural model:
```
PdI2
1.0
7.1372 0.0000 0.0000
0.0000 8.9531 0.0000
-1.8673 0.0000 6.8438
Pd I
4 8
direct
0.2213 0.1308 0.0027 Pd
0.2213 0.3692 0.5027 Pd
0.7787 0.6308 0.4973 Pd
0.7787 0.8692 0.9973 Pd
0.0139 0.5777 0.2752 I
0.0139 0.9223 0.7752 I
0.4331 0.1738 0.7511 I
0.4331 0.3262 0.2511 I
0.5669 0.6738 0.7489 I
0.5669 0.8262 0.2489 I
0.9861 0.0777 0.2248 I
0.9861 0.4223 0.7248 I
```

Most intense lines, 2θ = 10–90°, by angle:
- 16.3°, I 99
- 23.7°, I 32
- 28.7°, I 100
- 31.6°, I 40
- 32.8°, I 21
- 41.8°, I 17
- 42.5°, I 32
- 43.1°, I 25
- 43.4°, I 31
- 44.4°, I 13

=====

(5)
PmPd2I6: computed powder diffraction line list (Cu Kα (weighted mean of Kα1 and Kα2)), based on a structure optimized by DFT (GGA-PBE).
Lines closer than 0.1° are merged.

Structural model:
```
PmPd2I6
1.0
7.0155 -7.5923 0.0000
7.0155 7.5923 0.0000
-1.7456 0.0000 7.3486
Pm Pd I
2 4 12
direct
0.0786 0.9214 0.7500 Pm
0.9214 0.0786 0.2500 Pm
0.1740 0.3172 0.4475 Pd
0.3172 0.1740 0.9475 Pd
0.6828 0.8260 0.0525 Pd
0.8260 0.6828 0.5525 Pd
0.0136 0.2076 0.6562 I
0.0386 0.6353 0.7851 I
0.2076 0.0136 0.1562 I
0.3302 0.3817 0.2123 I
0.3647 0.9614 0.7149 I
0.3817 0.3302 0.7123 I
0.6183 0.6698 0.2877 I
0.6353 0.0386 0.2851 I
0.6698 0.6183 0.7877 I
0.7924 0.9864 0.8438 I
0.9614 0.3647 0.2149 I
0.9864 0.7924 0.3438 I
```

Most intense lines, 2θ = 10–90°, by angle:
- 11.7°, I 100
- 18.7°, I 47
- 23.1°, I 76
- 24.2°, I 45
- 26.3°, I 52
- 30.9°, I 61
- 32.8°, I 46
- 35.3°, I 40
- 41.6°, I 56
- 43.4°, I 41

=====

(6)
Pr8Pd3SI4: computed powder diffraction line list (Cu Kα (weighted mean of Kα1 and Kα2)), based on a structure optimized by DFT (GGA-PBE).
Lines closer than 0.1° are merged.

Structural model:
```
Pr8Pd3SI4
1.0
4.2731 2.4671 7.9490
-4.2731 2.4671 7.9490
0.0000 -4.9342 7.9490
Pr Pd S I
8 3 1 4
direct
0.2289 0.2289 0.2289 Pr
0.2388 0.7301 0.7301 Pr
0.2699 0.2699 0.7612 Pr
0.2699 0.7612 0.2699 Pr
0.7301 0.2388 0.7301 Pr
0.7301 0.7301 0.2388 Pr
0.7612 0.2699 0.2699 Pr
0.7711 0.7711 0.7711 Pr
0.0000 0.0000 0.5000 Pd
0.0000 0.5000 0.0000 Pd
0.5000 0.0000 0.0000 Pd
0.5000 0.5000 0.5000 S
0.0000 0.0000 0.0000 I
0.0000 0.5000 0.5000 I
0.5000 0.0000 0.5000 I
0.5000 0.5000 0.0000 I
```

Most intense lines, 2θ = 10–90°, by angle:
- 28.4°, I 100
- 30.6°, I 13
- 33.8°, I 7
- 38.8°, I 30
- 42.3°, I 38
- 51.7°, I 19
- 55.2°, I 11
- 58.7°, I 9
- 69.0°, I 15
- 75.0°, I 8

=====

(7)
Pr4SiPdI2: computed powder diffraction line list (Cu Kα (weighted mean of Kα1 and Kα2)), based on a structure optimized by DFT (GGA-PBE).
Lines closer than 0.1° are merged.

Structural model:
```
Pr4SiPdI2
1.0
7.7985 0.0000 0.0000
0.0000 4.2497 0.0000
-2.3474 0.0000 7.7269
Pr Si Pd I
4 1 1 2
direct
0.2289 0.0000 0.1936 Pr
0.2713 0.5000 0.7980 Pr
0.7287 0.5000 0.2020 Pr
0.7711 0.0000 0.8064 Pr
0.5000 0.0000 0.0000 Si
0.0000 0.5000 0.0000 Pd
0.0000 0.0000 0.5000 I
0.5000 0.5000 0.5000 I
```

Most intense lines, 2θ = 10–90°, by angle:
- 28.0°, I 53
- 28.2°, I 100
- 31.0°, I 15
- 34.8°, I 12
- 38.1°, I 15
- 39.7°, I 29
- 40.7°, I 42
- 42.5°, I 19
- 51.7°, I 19
- 66.4°, I 14

=====

(8)
PdPt2I6: computed powder diffraction line list (Cu Kα (weighted mean of Kα1 and Kα2)), based on a structure optimized by DFT (GGA-PBE).
Lines closer than 0.1° are merged.

Structural model:
```
PdPt2I6
1.0
7.1441 0.0000 0.0000
-3.5720 6.1870 0.0000
0.0000 0.0000 6.1897
Pd Pt I
1 2 6
direct
0.0000 0.0000 0.0000 Pd
0.3333 0.6667 0.0000 Pt
0.6667 0.3333 0.0000 Pt
0.0000 0.3418 0.2452 I
0.0000 0.6582 0.7548 I
0.3418 0.0000 0.2452 I
0.3418 0.3418 0.7548 I
0.6582 0.0000 0.7548 I
0.6582 0.6582 0.2452 I
```

Most intense lines, 2θ = 10–90°, by angle:
- 14.3°, I 39
- 28.9°, I 100
- 38.5°, I 53
- 43.9°, I 38
- 46.4°, I 11
- 51.1°, I 21
- 53.4°, I 20
- 59.8°, I 20
- 71.5°, I 14
- 77.1°, I 28

=====

(9)
PdPtI2: computed powder diffraction line list (Cu Kα (weighted mean of Kα1 and Kα2)), based on a structure optimized by DFT (GGA-PBE).
Lines closer than 0.1° are merged.

Structural model:
```
PdPtI2
1.0
6.1656 0.0000 0.0000
0.0000 6.1656 0.0000
0.0000 0.0000 12.3543
Pd Pt I
4 4 8
direct
0.0000 0.0000 0.0000 Pd
0.0000 0.5000 0.2500 Pd
0.5000 0.0000 0.7500 Pd
0.5000 0.5000 0.5000 Pd
0.0000 0.0000 0.5000 Pt
0.0000 0.5000 0.7500 Pt
0.5000 0.0000 0.2500 Pt
0.5000 0.5000 0.0000 Pt
0.2452 0.2500 0.6250 I
0.2500 0.7452 0.8750 I
0.2500 0.7548 0.3750 I
0.2548 0.2500 0.1250 I
0.7452 0.7500 0.1250 I
0.7500 0.2452 0.3750 I
0.7500 0.2548 0.8750 I
0.7548 0.7500 0.6250 I
```

Most intense lines, 2θ = 10–90°, by angle:
- 16.1°, I 7
- 25.0°, I 100
- 41.4°, I 78
- 49.0°, I 48
- 59.9°, I 4
- 60.0°, I 9
- 66.0°, I 20
- 75.5°, I 26
- 81.0°, I 11
- 89.9°, I 6

=====

(10)
RbPdPtI6: computed powder diffraction line list (Cu Kα (weighted mean of Kα1 and Kα2)), based on a structure optimized by DFT (GGA-PBE).
Lines closer than 0.1° are merged.

Structural model:
```
RbPdPtI6
1.0
7.2027 0.0000 0.0000
-2.2465 6.9750 0.0000
-0.2130 -2.2849 7.3124
Rb Pd Pt I
1 1 1 6
direct
0.0000 0.0000 0.0000 Rb
0.8115 0.1483 0.4983 Pd
0.4819 0.5047 0.5085 Pt
0.1781 0.2420 0.6422 I
0.2135 0.5281 0.2750 I
0.4620 0.8277 0.7723 I
0.5262 0.1715 0.2708 I
0.7534 0.4672 0.7320 I
0.7772 0.7644 0.3673 I
```

Most intense lines, 2θ = 10–90°, by angle:
- 12.1°, I 100
- 13.0°, I 24
- 15.3°, I 25
- 21.8°, I 62
- 27.7°, I 42
- 28.1°, I 34
- 31.1°, I 70
- 32.8°, I 27
- 34.8°, I 37
- 47.0°, I 34

=====

(11)
Rb2Pd2I5: computed powder diffraction line list (Cu Kα (weighted mean of Kα1 and Kα2)), based on a structure optimized by DFT (GGA-PBE).
Lines closer than 0.1° are merged.

Structural model:
```
Rb2Pd2I5
1.0
7.5799 -2.6519 0.0000
7.5799 2.6519 0.0000
-0.4711 0.0000 9.0843
Rb Pd I
2 2 5
direct
0.0728 0.0728 0.2750 Rb
0.9272 0.9272 0.7250 Rb
0.3156 0.3156 0.1325 Pd
0.6844 0.6844 0.8675 Pd
0.2300 0.2300 0.8674 I
0.3810 0.3810 0.4100 I
0.5000 0.5000 0.0000 I
0.6190 0.6190 0.5900 I
0.7700 0.7700 0.1326 I
```

Most intense lines, 2θ = 10–90°, by angle:
- 14.8°, I 50
- 25.0°, I 100
- 26.3°, I 76
- 26.6°, I 75
- 32.4°, I 66
- 33.8°, I 62
- 40.9°, I 28
- 42.5°, I 48
- 47.5°, I 44
- 54.0°, I 33

=====

(12)
Rb2PdRhI6: computed powder diffraction line list (Cu Kα (weighted mean of Kα1 and Kα2)), based on a structure optimized by DFT (GGA-PBE).
Lines closer than 0.1° are merged.

Structural model:
```
Rb2PdRhI6
1.0
-3.9770 3.9770 5.6003
3.9770 -3.9770 5.6003
3.9770 3.9770 -5.6003
Rb Pd Rh I
2 1 1 6
direct
0.2500 0.7500 0.5000 Rb
0.7500 0.2500 0.5000 Rb
0.0000 0.0000 0.0000 Pd
0.5000 0.5000 0.0000 Rh
0.2534 0.2534 0.0000 I
0.2545 0.2545 0.5091 I
0.2545 0.7455 0.0000 I
0.7455 0.2545 0.0000 I
0.7455 0.7455 0.4909 I
0.7466 0.7466 0.0000 I
```

Most intense lines, 2θ = 10–90°, by angle:
- 15.8°, I 49
- 27.5°, I 100
- 31.8°, I 88
- 32.0°, I 43
- 45.6°, I 32
- 45.7°, I 63
- 54.1°, I 29
- 56.8°, I 33
- 75.7°, I 28
- 84.4°, I 21

=====

(13)
Rb3Tl3PdI8: computed powder diffraction line list (Cu Kα (weighted mean of Kα1 and Kα2)), based on a structure optimized by DFT (GGA-PBE).
Lines closer than 0.1° are merged.

Structural model:
```
Rb3Tl3PdI8
1.0
5.1196 2.9558 8.1205
-5.1196 2.9558 8.1205
0.0000 -5.9116 8.1205
Rb Tl Pd I
3 3 1 8
direct
0.0000 0.5000 0.5000 Rb
0.5000 0.0000 0.5000 Rb
0.5000 0.5000 0.0000 Rb
0.0000 0.0000 0.5000 Tl
0.0000 0.5000 0.0000 Tl
0.5000 0.0000 0.0000 Tl
0.0000 0.0000 0.0000 Pd
0.1956 0.7971 0.7971 I
0.2029 0.2029 0.8044 I
0.2029 0.8045 0.2029 I
0.2464 0.2464 0.2464 I
0.7536 0.7536 0.7536 I
0.7971 0.1956 0.7971 I
0.7971 0.7971 0.1956 I
0.8044 0.2029 0.2029 I
```

Most intense lines, 2θ = 10–90°, by angle:
- 10.6°, I 44
- 24.8°, I 100
- 32.4°, I 13
- 35.1°, I 32
- 35.8°, I 34
- 43.4°, I 14
- 44.7°, I 14
- 51.0°, I 10
- 57.0°, I 11
- 58.0°, I 12

=====

(14)
Rb2ZrPdI6: computed powder diffraction line list (Cu Kα (weighted mean of Kα1 and Kα2)), based on a structure optimized by DFT (GGA-PBE).
Lines closer than 0.1° are merged.

Structural model:
```
Rb2ZrPdI6
1.0
-4.1492 4.1492 5.8610
4.1492 -4.1492 5.8610
4.1492 4.1492 -5.8610
Rb Zr Pd I
2 1 1 6
direct
0.2500 0.7500 0.5000 Rb
0.7500 0.2500 0.5000 Rb
0.0000 0.0000 0.0000 Zr
0.5000 0.5000 0.0000 Pd
0.2481 0.2481 0.0000 I
0.2479 0.2479 0.4958 I
0.2479 0.7521 0.0000 I
0.7521 0.2479 0.0000 I
0.7519 0.7519 0.0000 I
0.7521 0.7521 0.5042 I
```

Most intense lines, 2θ = 10–90°, by angle:
- 15.1°, I 34
- 26.3°, I 80
- 30.5°, I 100
- 34.2°, I 18
- 43.6°, I 73
- 51.7°, I 36
- 54.2°, I 26
- 69.9°, I 15
- 72.0°, I 33
- 80.2°, I 24